NaPSe4: theoretical powder diffractogram (Cu Kα (λ = 1.5418 Å)), based on DFT lattice parameters and positions (GGA-PBE).

Peak list (6 most intense, 10 to 90 degrees two-theta, low angle first)
| two_theta | d_spacing | I/Imax | h k l |
| --- | --- | --- | --- |
| 14.68 | 6.034 | 76 | 0 1 1 |
| 25.25 | 3.527 | 88 | 0 0 2 |
| 25.62 | 3.476 | 49 | 2 1 1 |
| 26.19 | 3.403 | 90 | 0 3 1 |
| 30.69 | 2.913 | 39 | 0 4 0 |
| 34.96 | 2.566 | 100 | 3 1 1 |

Atomic structure:
a = 8.507 Å, b = 11.654 Å, c = 7.053 Å
α = 90.00°, β = 90.00°, γ = 90.00°
Space group Ama2 (No. 40)
Unique sites:
Na 0.000 0.000 0.000 [4 per cell]
P 0.250 0.068 0.478 [4 per cell]
Se 0.060 0.162 0.322 [8 per cell]
Se 0.250 0.103 0.783 [4 per cell]
Se 0.250 0.373 0.898 [4 per cell]